No. 1
HoFe5P3: computed XRD peak list (Cu Ka), based on a GGA-PBE-relaxed structure.
Peak positions follow from Bragg's law for the DFT cell and can differ from measured ones.

Most intense lines, 2θ = 15–90°, low angle first:
d/Å	I/Imax	h k l
3.300	21.2	1 1 1
2.965	13.1	2 0 3
2.512	16.2	1 0 4
2.372	18.2	3 1 2
2.300	100.0	2 1 3
2.293	52.1	4 1 0
2.237	25.0	4 0 3
1.824	31.7	0 2 0
1.706	20.2	6 0 3
1.246	17.1	6 2 3

```
data_HoFe5P3
_chemical_formula_sum 'Ho4 Fe20 P12'
_cell_length_a 11.798
_cell_length_b 3.647
_cell_length_c 10.282
_cell_angle_alpha 90.00
_cell_angle_beta 90.00
_cell_angle_gamma 90.00
_space_group_name_H-M_alt 'P 1'
_space_group_IT_number 1
loop_
_space_group_symop_operation_xyz
'x,y,z'
loop_
_atom_site_label
_atom_site_fract_x
_atom_site_fract_y
_atom_site_fract_z
Ho1 0.204 0.250 0.080
Ho2 0.296 0.750 0.580
Ho3 0.704 0.250 0.420
Ho4 0.796 0.750 0.920
Fe1 0.010 0.750 0.095
Fe2 0.011 0.750 0.708
Fe3 0.067 0.750 0.463
Fe4 0.176 0.250 0.780
Fe5 0.202 0.250 0.375
Fe6 0.298 0.750 0.875
Fe7 0.324 0.750 0.280
Fe8 0.433 0.250 0.963
Fe9 0.489 0.250 0.208
Fe10 0.490 0.250 0.595
Fe11 0.510 0.750 0.405
Fe12 0.511 0.750 0.792
Fe13 0.567 0.750 0.037
Fe14 0.676 0.250 0.720
Fe15 0.702 0.250 0.125
Fe16 0.798 0.750 0.625
Fe17 0.824 0.750 0.220
Fe18 0.933 0.250 0.537
Fe19 0.989 0.250 0.292
Fe20 0.990 0.250 0.905
P1 0.103 0.750 0.899
P2 0.113 0.250 0.577
P3 0.128 0.750 0.266
P4 0.372 0.250 0.766
P5 0.387 0.750 0.077
P6 0.397 0.250 0.399
P7 0.603 0.750 0.601
P8 0.613 0.250 0.923
P9 0.628 0.750 0.234
P10 0.872 0.250 0.734
P11 0.887 0.750 0.423
P12 0.897 0.250 0.101
```

No. 2
La8DyY4: computed XRD peak list (Cu Ka), based on a GGA-PBE-relaxed structure.
Peak positions follow from Bragg's law for the DFT cell and can differ from measured ones.

Most intense lines, 2θ = 15–90°, low angle first:
d/Å	I/Imax	h k l
3.418	12.7	1 2 0
3.355	22.1	0 0 3
3.081	14.2	2 2 2
2.946	14.1	1 2 -1
2.905	100.0	0 2 2
2.793	18.2	0 2 -1
2.722	17.8	1 0 -3
2.419	21.0	2 0 -2
1.818	19.6	2 -2 0
1.599	14.3	2 4 -1

```
data_La8DyY4
_chemical_formula_sum 'La8 Dy1 Y4'
_cell_length_a 7.262
_cell_length_b 7.269
_cell_length_c 10.893
_cell_angle_alpha 70.68
_cell_angle_beta 70.63
_cell_angle_gamma 60.09
_space_group_name_H-M_alt 'P 1'
_space_group_IT_number 1
loop_
_space_group_symop_operation_xyz
'x,y,z'
loop_
_atom_site_label
_atom_site_fract_x
_atom_site_fract_y
_atom_site_fract_z
La1 0.206 0.251 0.288
La2 0.210 0.707 0.371
La3 0.247 0.749 0.712
La4 0.248 0.294 0.712
La5 0.752 0.706 0.288
La6 0.753 0.251 0.288
La7 0.790 0.293 0.629
La8 0.794 0.749 0.712
Dy1 0.500 0.000 0.500
Y1 0.000 0.000 0.000
Y2 0.000 0.500 0.000
Y3 0.500 0.000 0.000
Y4 0.500 0.500 0.000
```